Entry 1:
This entry pairs a crystal structure of H3PbSCl3 with its simulated powder diffraction line list. Radiation: Cu Kα. Structure: a GGA-PBE-relaxed structure.
No peak broadening, texture or thermal motion is included.

Most intense lines, 2θ = 10–80°, in order of falling intensity:
- 10.4°, d 8.468, rel. 1000
- 22.4°, d 3.977, rel. 482
- 28.8°, d 3.100, rel. 279
- 10.3°, d 8.564, rel. 213
- 33.2°, d 2.698, rel. 208
- 13.9°, d 6.353, rel. 194
- 13.7°, d 6.477, rel. 182
- 22.5°, d 3.955, rel. 169
- 26.9°, d 3.313, rel. 164
- 18.1°, d 4.905, rel. 162
- 40.1°, d 2.247, rel. 153
- 29.0°, d 3.080, rel. 144

Cell and atoms:
Unit cell a=4.494 b=9.811 c=16.960 alpha=91.12 beta=90.49 gamma=90.09
Space group P1 (No. 1)
One atom of each set of equivalent atoms:
H 0.000 0.000 0.000 x1
H 0.003 0.490 0.119 x1
H 0.014 0.399 0.433 x1
H 0.066 0.816 0.568 x1
H 0.294 0.988 0.547 x1
H 0.312 0.268 0.470 x1
H 0.512 0.817 0.572 x1
H 0.559 0.000 0.000 x1
H 0.562 0.491 0.119 x1
H 0.777 0.038 0.902 x1
H 0.780 0.589 0.034 x1
H 0.996 0.325 0.550 x1
Pb 0.274 0.730 0.854 x1
Pb 0.284 0.204 0.260 x1
Pb 0.768 0.366 0.759 x1
Pb 0.791 0.845 0.351 x1
S 0.212 0.393 0.496 x1
S 0.290 0.899 0.609 x1
S 0.779 0.095 0.978 x1
S 0.783 0.594 0.116 x1
Cl 0.269 0.556 0.712 x1
Cl 0.273 0.223 0.821 x1
Cl 0.279 0.845 0.014 x1
Cl 0.281 0.334 0.112 x1
Cl 0.292 0.700 0.294 x1
Cl 0.302 0.044 0.413 x1
Cl 0.756 0.231 0.610 x1
Cl 0.774 0.896 0.805 x1
Cl 0.776 0.551 0.907 x1
Cl 0.787 0.020 0.213 x1
Cl 0.790 0.367 0.319 x1
Cl 0.796 0.711 0.508 x1


Entry 2:
This entry pairs a crystal structure of Ta2NiAgBi with its simulated powder diffraction line list. Radiation: Cu Kα. Structure: a GGA-PBE-relaxed structure.
No peak broadening, texture or thermal motion is included.

Most intense lines, 2θ = 10–80°, in order of falling intensity:
- 32.9°, d 2.724, rel. 1000
- 38.7°, d 2.327, rel. 476
- 54.6°, d 1.680, rel. 350
- 66.4°, d 1.408, rel. 271
- 37.0°, d 2.428, rel. 268
- 68.9°, d 1.362, rel. 174
- 55.9°, d 1.645, rel. 163
- 64.1°, d 1.452, rel. 150
- 26.5°, d 3.360, rel. 116
- 47.5°, d 1.913, rel. 51
- 18.3°, d 4.856, rel. 31
- 78.9°, d 1.214, rel. 30

Cell and atoms:
Unit cell a=4.654 b=4.654 c=4.856 alpha=90.00 beta=90.00 gamma=90.00
Space group P4/mmm (No. 123)
One atom of each set of equivalent atoms:
Ta 0.000 0.500 0.000 x2
Ni 0.000 0.000 0.000 x1
Ag 0.000 0.000 0.500 x1
Bi 0.500 0.500 0.500 x1


Entry 3:
This entry pairs a crystal structure of ThScTe3 with its simulated powder diffraction line list. Radiation: Cu Kα. Structure: a GGA-PBE-relaxed structure.
No peak broadening, texture or thermal motion is included.

Most intense lines, 2θ = 10–80°, in order of falling intensity:
- 29.1°, d 3.070, rel. 1000
- 33.9°, d 2.647, rel. 742
- 39.1°, d 2.303, rel. 653
- 35.0°, d 2.563, rel. 576
- 27.1°, d 3.289, rel. 539
- 42.8°, d 2.111, rel. 511
- 35.6°, d 2.524, rel. 494
- 29.3°, d 3.052, rel. 493
- 28.8°, d 3.096, rel. 457
- 28.5°, d 3.137, rel. 407
- 32.7°, d 2.735, rel. 379
- 36.0°, d 2.494, rel. 322

Cell and atoms:
Unit cell a=15.763 b=4.222 c=9.365 alpha=90.00 beta=93.18 gamma=90.00
Space group C2/m (No. 12)
One atom of each set of equivalent atoms:
Th 0.107 0.000 0.089 x4
Sc 0.192 0.500 0.633 x4
Te 0.042 0.500 0.830 x4
Te 0.129 0.000 0.441 x4
Te 0.244 0.000 0.838 x4


Entry 4:
This entry pairs a crystal structure of Nd2SmRh2 with its simulated powder diffraction line list. Radiation: Cu Kα. Structure: a GGA-PBE-relaxed structure.
No peak broadening, texture or thermal motion is included.

Most intense lines, 2θ = 10–80°, in order of falling intensity:
- 31.3°, d 2.854, rel. 1000
- 37.8°, d 2.380, rel. 957
- 32.9°, d 2.719, rel. 237
- 27.2°, d 3.283, rel. 218
- 46.9°, d 1.938, rel. 195
- 61.7°, d 1.503, rel. 171
- 54.5°, d 1.684, rel. 157
- 42.4°, d 2.131, rel. 151
- 51.0°, d 1.791, rel. 137
- 64.2°, d 1.450, rel. 127
- 29.9°, d 2.988, rel. 102
- 71.7°, d 1.316, rel. 98

Cell and atoms:
Unit cell a=3.876 b=27.190 c=4.763 alpha=90.00 beta=90.00 gamma=90.00
Space group Cmcm (No. 63)
One atom of each set of equivalent atoms:
Nd 0.000 0.052 0.250 x4
Nd 0.000 0.268 0.750 x4
Sm 0.000 0.366 0.250 x4
Rh 0.000 0.158 0.250 x4
Rh 0.000 0.466 0.250 x4


Question: Number 3 is which compound?
Answer: ThScTe3


Question: Number 1 is which compound?
Answer: H3PbSCl3